Entry 1:
For BaTh2NpN5, DFT lattice parameters and positions (GGA-PBE) gives the calculated powder diffractogram in this record (Cu Kα (weighted mean of Kα1 and Kα2)).
Lines closer than 0.1° are merged.

Top 8 peaks for 10° ≤ 2θ ≤ 90°, by intensity:
| 2theta | Rel. int. |
| --- | --- |
| 29.7 | 100 |
| 28.5 | 28 |
| 51.2 | 23 |
| 41.4 | 19 |
| 29.4 | 18 |
| 15.9 | 16 |
| 61.7 | 12 |
| 43.6 | 12 |

Structural model:
Unit cell a=7.1432 b=7.1432 c=7.1432 alpha=146.18 beta=127.94 gamma=63.53
Fractional coordinates of all 9 atoms:
Ba (0.0000, 0.0000, 0.0000)
Th (0.2810, 0.7810, 0.5000)
Th (0.7190, 0.2190, 0.5000)
Np (0.5000, 0.5000, 0.0000)
N (0.1254, 0.3540, 0.7714)
N (0.4175, 0.6460, 0.7714)
N (0.5000, 0.0000, 0.5000)
N (0.5825, 0.3540, 0.2286)
N (0.8746, 0.6460, 0.2286)



Entry 2:
For TbScH, DFT lattice parameters and positions (GGA-PBE) gives the calculated powder diffractogram in this record (Cu Kα (weighted mean of Kα1 and Kα2)).
Lines closer than 0.1° are merged.

Top 8 peaks for 10° ≤ 2θ ≤ 90°, by intensity:
| 2theta | Rel. int. |
| --- | --- |
| 33.5 | 100 |
| 33.9 | 45 |
| 25.3 | 43 |
| 12.4 | 37 |
| 32.7 | 36 |
| 63.0 | 34 |
| 29.1 | 22 |
| 58.9 | 19 |

Structural model:
Unit cell a=6.0341 b=7.1135 c=5.4785 alpha=90.00 beta=90.00 gamma=90.00
Fractional coordinates of all 12 atoms:
Tb (0.0769, 0.1343, 0.0000)
Tb (0.4231, 0.1343, 0.5000)
Tb (0.5769, 0.8657, 0.0000)
Tb (0.9231, 0.8657, 0.5000)
Sc (0.0892, 0.6118, 0.0158)
Sc (0.4108, 0.6118, 0.5158)
Sc (0.5892, 0.3882, 0.0158)
Sc (0.9108, 0.3882, 0.5158)
H (0.0935, 0.6086, 0.3953)
H (0.4065, 0.6086, 0.8953)
H (0.5935, 0.3914, 0.3953)
H (0.9065, 0.3914, 0.8953)



Entry 3:
For Mg2Ga12Pt7, DFT lattice parameters and positions (GGA-PBE) gives the calculated powder diffractogram in this record (Cu Kα (weighted mean of Kα1 and Kα2)).
Lines closer than 0.1° are merged.

Top 8 peaks for 10° ≤ 2θ ≤ 90°, by intensity:
| 2theta | Rel. int. |
| --- | --- |
| 25.5 | 100 |
| 44.9 | 93 |
| 35.9 | 80 |
| 43.4 | 72 |
| 26.7 | 54 |
| 70.2 | 49 |
| 38.5 | 38 |
| 42.2 | 32 |

Structural model:
Unit cell a=10.6877 b=10.6877 c=3.5814 alpha=90.00 beta=90.00 gamma=120.00
Fractional coordinates of all 21 atoms:
Mg (0.0000, 0.0000, 0.0000)
Mg (0.3333, 0.6667, 0.5000)
Ga (0.0538, 0.7699, 0.5000)
Ga (0.1160, 0.3904, 0.0000)
Ga (0.2301, 0.2839, 0.5000)
Ga (0.2745, 0.8840, 0.0000)
Ga (0.3904, 0.2263, 0.0000)
Ga (0.5127, 0.1028, 0.5000)
Ga (0.5901, 0.4873, 0.5000)
Ga (0.6096, 0.7255, 0.0000)
Ga (0.7161, 0.9462, 0.5000)
Ga (0.7737, 0.1640, 0.0000)
Ga (0.8360, 0.6096, 0.0000)
Ga (0.8972, 0.4099, 0.5000)
Pt (0.0785, 0.6050, 0.0000)
Pt (0.2333, 0.0418, 0.5000)
Pt (0.3950, 0.4735, 0.0000)
Pt (0.5265, 0.9215, 0.0000)
Pt (0.6667, 0.3333, 0.0000)
Pt (0.8085, 0.7667, 0.5000)
Pt (0.9582, 0.1915, 0.5000)